No. 1
This entry pairs a crystal structure of MgZr3U7O20 with its theoretical powder diffractogram. Radiation: Cu Ka. Structure: DFT lattice parameters and positions (PBE).
Intensities are scaled so that the largest is 100.

Structural model:
Cell lengths 16.573, 16.573, 6.521 Å; angles 92.70, 92.70, 13.02 degrees
Sites, in units of the cell vectors:
Mg 0.000 0.000 0.000
Zr 0.162 0.162 0.055
Zr 0.253 0.253 0.748
Zr 0.437 0.437 0.133
U 0.066 0.066 0.368
U 0.348 0.348 0.443
U 0.569 0.569 0.867
U 0.661 0.661 0.556
U 0.754 0.754 0.247
U 0.848 0.848 0.933
U 0.948 0.948 0.610
O 0.033 0.033 0.722
O 0.093 0.093 0.039
O 0.137 0.137 0.381
O 0.186 0.186 0.738
O 0.230 0.230 0.068
O 0.277 0.277 0.430
O 0.324 0.324 0.765
O 0.374 0.374 0.112
O 0.426 0.426 0.456
O 0.479 0.479 0.892
O 0.542 0.542 0.182
O 0.589 0.589 0.541
O 0.639 0.639 0.889
O 0.683 0.683 0.220
O 0.731 0.731 0.580
O 0.777 0.777 0.911
O 0.825 0.825 0.263
O 0.876 0.876 0.607
O 0.923 0.923 0.961
O 0.974 0.974 0.274

The 10 most intense peaks (2θ from 10° to 90°), by angle:
2θ (°), d [Å], I_rel
27.11, 3.290, 45
28.79, 3.101, 100
29.01, 3.078, 52
32.65, 2.743, 29
33.10, 2.706, 48
45.94, 1.975, 22
46.58, 1.950, 15
48.38, 1.881, 34
48.44, 1.879, 19
57.46, 1.604, 16

=====

No. 2
This entry pairs a crystal structure of NaAlS2O19 with its theoretical powder diffractogram. Radiation: Cu Ka. Structure: DFT lattice parameters and positions (PBE).
Intensities are scaled so that the largest is 100.

Structural model:
Cell lengths 11.555, 11.555, 8.298 Å; angles 92.11, 92.11, 44.46 degrees
Sites, in units of the cell vectors:
Na 0.000 0.000 0.000
Na 0.000 0.000 0.500
Al 0.000 0.500 0.000
Al 0.500 0.000 0.500
S 0.118 0.629 0.475
S 0.371 0.882 0.025
S 0.629 0.118 0.975
S 0.882 0.371 0.525
O 0.002 0.718 0.036
O 0.028 0.345 0.555
O 0.086 0.456 0.804
O 0.097 0.754 0.394
O 0.111 0.715 0.038
O 0.140 0.634 0.652
O 0.144 0.856 0.750
O 0.203 0.372 0.086
O 0.246 0.903 0.106
O 0.263 0.461 0.408
O 0.282 0.998 0.464
O 0.285 0.889 0.462
O 0.345 0.028 0.055
O 0.366 0.860 0.848
O 0.372 0.203 0.586
O 0.445 0.525 0.953
O 0.456 0.086 0.304
O 0.461 0.263 0.908
O 0.475 0.555 0.547
O 0.525 0.445 0.453
O 0.539 0.737 0.092
O 0.544 0.914 0.696
O 0.555 0.475 0.047
O 0.628 0.797 0.414
O 0.634 0.140 0.152
O 0.655 0.972 0.945
O 0.715 0.111 0.538
O 0.718 0.002 0.536
O 0.737 0.539 0.592
O 0.754 0.097 0.894
O 0.797 0.628 0.914
O 0.856 0.144 0.250
O 0.860 0.366 0.348
O 0.889 0.285 0.962
O 0.903 0.246 0.606
O 0.914 0.544 0.196
O 0.972 0.655 0.445
O 0.998 0.282 0.964

The 10 most intense peaks (2θ from 10° to 90°), by angle:
2θ (°), d [Å], I_rel
19.03, 4.664, 72
19.59, 4.533, 21
20.32, 4.371, 51
21.44, 4.145, 100
25.91, 3.438, 40
26.34, 3.383, 42
32.41, 2.762, 28
33.54, 2.672, 18
33.77, 2.654, 27
33.90, 2.645, 31

=====

No. 3
This entry pairs a crystal structure of Hf2As with its theoretical powder diffractogram. Radiation: Cu Ka. Structure: DFT lattice parameters and positions (PBE).
Intensities are scaled so that the largest is 100.

Structural model:
Cell lengths 12.560, 15.516, 3.665 Å; angles 90.00, 90.00, 90.00 degrees
Sites, in units of the cell vectors:
Hf 0.029 0.107 0.000
Hf 0.083 0.576 0.000
Hf 0.093 0.745 0.500
Hf 0.118 0.420 0.500
Hf 0.151 0.978 0.500
Hf 0.192 0.207 0.500
Hf 0.308 0.707 0.000
Hf 0.349 0.478 0.000
Hf 0.382 0.920 0.000
Hf 0.407 0.245 0.000
Hf 0.417 0.076 0.500
Hf 0.471 0.607 0.500
Hf 0.529 0.393 0.500
Hf 0.583 0.924 0.500
Hf 0.593 0.755 0.000
Hf 0.618 0.080 0.000
Hf 0.651 0.522 0.000
Hf 0.692 0.293 0.000
Hf 0.808 0.793 0.500
Hf 0.849 0.022 0.500
Hf 0.882 0.580 0.500
Hf 0.907 0.255 0.500
Hf 0.917 0.424 0.000
Hf 0.971 0.893 0.000
As 0.065 0.290 0.000
As 0.186 0.850 0.000
As 0.244 0.587 0.500
As 0.256 0.087 0.000
As 0.314 0.350 0.500
As 0.435 0.790 0.500
As 0.565 0.210 0.500
As 0.686 0.650 0.500
As 0.744 0.913 0.000
As 0.756 0.413 0.500
As 0.814 0.150 0.000
As 0.935 0.710 0.000

The 10 most intense peaks (2θ from 10° to 90°), by angle:
2θ (°), d [Å], I_rel
32.47, 2.757, 60
34.42, 2.606, 49
36.03, 2.493, 41
36.23, 2.480, 27
36.64, 2.452, 100
36.94, 2.433, 82
37.63, 2.390, 28
38.00, 2.368, 45
39.54, 2.279, 28
49.76, 1.832, 46

=====

No. 4
This entry pairs a crystal structure of Tb2Pb2O7 with its theoretical powder diffractogram. Radiation: Cu Ka. Structure: DFT lattice parameters and positions (PBE).
Intensities are scaled so that the largest is 100.

Structural model:
Cell lengths 7.637, 7.637, 7.637 Å; angles 60.00, 60.00, 60.00 degrees
Sites, in units of the cell vectors:
Tb 0.000 0.000 0.000
Tb 0.000 0.000 0.500
Tb 0.000 0.500 0.000
Tb 0.500 0.000 0.000
Pb 0.000 0.500 0.500
Pb 0.500 0.000 0.500
Pb 0.500 0.500 0.000
Pb 0.500 0.500 0.500
O 0.125 0.125 0.125
O 0.150 0.150 0.600
O 0.150 0.600 0.150
O 0.150 0.600 0.600
O 0.400 0.400 0.850
O 0.400 0.850 0.400
O 0.400 0.850 0.850
O 0.600 0.150 0.150
O 0.600 0.150 0.600
O 0.600 0.600 0.150
O 0.850 0.400 0.400
O 0.850 0.400 0.850
O 0.850 0.850 0.400
O 0.875 0.875 0.875

The 10 most intense peaks (2θ from 10° to 90°), by angle:
2θ (°), d [Å], I_rel
27.39, 3.257, 2
28.63, 3.118, 100
33.18, 2.700, 37
47.63, 1.909, 48
56.52, 1.628, 46
59.28, 1.559, 11
69.64, 1.350, 7
76.96, 1.239, 19
79.35, 1.208, 15
88.75, 1.102, 16